Starting from DFT lattice parameters and positions (GGA-PBE), the X-ray powder pattern of Sm6Fe13Bi was computed for λ = 1.5418 Å (Cu Kα).

The 10 most intense peaks (2θ = 5–70°), by intensity:
(2 2 0), d 2.844, 31.45 deg, intensity 100.0
(3 1 0), d 2.541, 35.32 deg, intensity 99.4
(2 1 3), d 3.262, 27.34 deg, intensity 73.6
(2 0 8), d 2.358, 38.16 deg, intensity 60.4
(2 0 6), d 2.792, 32.05 deg, intensity 48.0
(2 1 9), d 2.101, 43.06 deg, intensity 47.2
(0 0 12), d 1.942, 46.77 deg, intensity 41.8
(1 1 6), d 3.206, 27.83 deg, intensity 40.3
(1 1 8), d 2.592, 34.61 deg, intensity 37.5
(3 3 8), d 1.588, 58.09 deg, intensity 31.0

Cell and atoms:
Unit cell a=8.0367 b=8.0367 c=23.3000 alpha=90.00 beta=90.00 gamma=90.00
Space group I4/mcm (No. 140)
One atom of each set of equivalent atoms:
Sm (0.0000, 0.0000, 0.1025) [8 per cell]
Sm (0.1614, 0.3386, 0.1835) [16 per cell]
Fe (0.0000, 0.5000, 0.0000) [4 per cell]
Fe (0.0667, 0.2093, 0.5000) [16 per cell]
Fe (0.1144, 0.3856, 0.4057) [16 per cell]
Fe (0.1787, 0.3213, 0.0591) [16 per cell]
Bi (0.0000, 0.0000, 0.2500) [4 per cell]